Record 1
Tm5SiTe5: calculated X-ray diffraction stick pattern (λ = 1.5418 Å (Cu Kα)), based on a DFT-relaxed cell (PBE, Alexandria).

Main lines, low angle first (2θ = 10–90°):
- d = 3.024 Å, 29.5°, I 90.2, (4 0 -2)
- d = 3.013 Å, 29.6°, I 93.0, (0 2 0)
- d = 3.003 Å, 29.8°, I 88.6, (2 0 2)
- d = 2.135 Å, 42.3°, I 99.6, (4 2 -2)
- d = 2.127 Å, 42.5°, I 100.0, (2 2 2)
- d = 1.742 Å, 52.5°, I 33.9, (6 2 0)
- d = 1.737 Å, 52.7°, I 35.2, (2 2 -4)
- d = 1.348 Å, 69.8°, I 29.1, (4 4 -2)
- d = 1.343 Å, 70.0°, I 21.0, (0 0 6)
- d = 1.230 Å, 77.6°, I 30.2, (6 4 0)

Crystal structure
Lattice parameters (Å, degrees): 13.5284 6.0265 8.5035 90.00 108.71 90.00
Space group C2/m (No. 12)
Asymmetric unit:
Tm (0.0000, 0.0000, 0.0000) [2 per cell]
Tm (0.1542, 0.5000, 0.3146) [4 per cell]
Tm (0.1552, 0.5000, 0.8420) [4 per cell]
Si (0.0000, 0.5000, 0.0000) [2 per cell]
Te (0.0000, 0.5000, 0.5000) [2 per cell]
Te (0.1643, 0.0000, 0.8251) [4 per cell]
Te (0.1731, 0.0000, 0.3360) [4 per cell]

---

Record 2
Ca3Nd5Se8: calculated X-ray diffraction stick pattern (λ = 1.5418 Å (Cu Kα)), based on a DFT-relaxed cell (PBE, Alexandria).

Main lines, low angle first (2θ = 10–90°):
- d = 6.945 Å, 12.7°, I 8.3, (0 0 3)
- d = 3.587 Å, 24.8°, I 8.5, (0 2 1)
- d = 2.983 Å, 30.0°, I 100.0, (0 2 4)
- d = 2.118 Å, 42.7°, I 37.3, (2 0 8)
- d = 2.101 Å, 43.1°, I 36.6, (2 2 0)
- d = 1.718 Å, 53.3°, I 19.3, (4 0 4)
- d = 1.492 Å, 62.2°, I 12.0, (0 4 8)
- d = 1.338 Å, 70.3°, I 16.5, (2 2 12)
- d = 1.330 Å, 70.9°, I 16.3, (2 4 4)
- d = 1.216 Å, 78.7°, I 12.1, (4 2 8)

Crystal structure
Lattice parameters (Å, degrees): 8.4043 8.4043 20.8338 90.00 90.00 120.00
Space group R-3m (No. 166, hexagonal axes)
Asymmetric unit:
Ca (0.0000, 0.5000, 0.0000) [9 per cell]
Nd (0.0000, 0.0000, 0.0000) [3 per cell]
Nd (0.0000, 0.0000, 0.5000) [3 per cell]
Nd (0.0000, 0.5000, 0.5000) [9 per cell]
Se (0.0000, 0.0000, 0.2522) [6 per cell]
Se (0.0038, 0.5019, 0.2518) [18 per cell]

---

Record 3
MgZr: calculated X-ray diffraction stick pattern (λ = 1.5418 Å (Cu Kα)), based on a DFT-relaxed cell (PBE, Alexandria).

Main lines, low angle first (2θ = 10–90°):
- d = 5.458 Å, 16.2°, I 76.1, (0 0 2)
- d = 2.729 Å, 32.8°, I 41.8, (0 0 4)
- d = 2.596 Å, 34.5°, I 100.0, (1 0 1)
- d = 2.400 Å, 37.5°, I 64.1, (1 0 2)
- d = 2.154 Å, 41.9°, I 57.6, (1 0 3)
- d = 1.691 Å, 54.3°, I 26.5, (1 0 5)
- d = 1.543 Å, 59.9°, I 21.0, (1 1 0)
- d = 1.504 Å, 61.7°, I 14.2, (1 0 6)
- d = 1.347 Å, 69.8°, I 12.1, (1 0 7)
- d = 1.343 Å, 70.0°, I 25.8, (1 1 4)

Crystal structure
Lattice parameters (Å, degrees): 3.0864 3.0864 10.9159 90.00 90.00 120.00
Space group P6_3/mmc (No. 194)
Asymmetric unit:
Mg (0.0000, 0.0000, 0.0000) [2 per cell]
Zr (0.3333, 0.6667, 0.2500) [2 per cell]

---

Record 4
Tl2In2Sn: calculated X-ray diffraction stick pattern (λ = 1.5418 Å (Cu Kα)), based on a DFT-relaxed cell (PBE, Alexandria).

Main lines, low angle first (2θ = 10–90°):
- d = 6.229 Å, 14.2°, I 8.7, (1 1 0)
- d = 3.839 Å, 23.2°, I 10.1, (0 0 1)
- d = 2.786 Å, 32.1°, I 49.2, (3 1 0)
- d = 2.749 Å, 32.6°, I 100.0, (2 1 1)
- d = 2.255 Å, 40.0°, I 12.2, (3 1 1)
- d = 2.202 Å, 41.0°, I 8.9, (4 0 0)
- d = 1.919 Å, 47.4°, I 10.9, (0 0 2)
- d = 1.867 Å, 48.8°, I 10.3, (4 1 1)
- d = 1.581 Å, 58.4°, I 18.1, (3 1 2)
- d = 1.505 Å, 61.6°, I 22.9, (5 2 1)

Crystal structure
Lattice parameters (Å, degrees): 8.8097 8.8097 3.8386 90.00 90.00 90.00
Space group P4/mbm (No. 127)
Asymmetric unit:
Tl (0.1407, 0.3593, 0.0000) [4 per cell]
In (0.1605, 0.6605, 0.5000) [4 per cell]
Sn (0.0000, 0.0000, 0.0000) [2 per cell]

---

Record 5
PrSmDy2Ho5: calculated X-ray diffraction stick pattern (λ = 1.5418 Å (Cu Kα)), based on a DFT-relaxed cell (PBE, Alexandria).

Main lines, low angle first (2θ = 10–90°):
- d = 3.145 Å, 28.4°, I 51.2, (2 2 0)
- d = 3.097 Å, 28.8°, I 52.4, (2 1 3)
- d = 2.845 Å, 31.4°, I 100.0, (2 0 4)
- d = 2.813 Å, 31.8°, I 16.2, (3 1 0)
- d = 2.434 Å, 36.9°, I 21.5, (3 2 1)
- d = 2.375 Å, 37.9°, I 17.1, (2 1 5)
- d = 2.135 Å, 42.3°, I 16.2, (4 1 1)
- d = 1.851 Å, 49.2°, I 12.8, (0 0 8)
- d = 1.752 Å, 52.2°, I 18.0, (4 2 4)
- d = 1.595 Å, 57.8°, I 13.2, (2 2 8)

Crystal structure
Lattice parameters (Å, degrees): 8.8963 8.8963 14.8056 90.00 90.00 90.00
Space group I4/mcm (No. 140)
Asymmetric unit:
Pr (0.0000, 0.0000, 0.2500) [4 per cell]
Sm (0.0000, 0.5000, 0.2500) [4 per cell]
Dy (0.1136, 0.3864, 0.0000) [8 per cell]
Ho (0.0000, 0.0000, 0.0000) [4 per cell]
Ho (0.2045, 0.2955, 0.3681) [16 per cell]

---

Record 6
IrPdSe4: calculated X-ray diffraction stick pattern (λ = 1.5418 Å (Cu Kα)), based on a DFT-relaxed cell (PBE, Alexandria).

Main lines, low angle first (2θ = 10–90°):
- d = 5.038 Å, 17.6°, I 58.5, (1 0 0)
- d = 3.273 Å, 27.2°, I 16.1, (0 0 2)
- d = 2.783 Å, 32.2°, I 100.0, (1 1 -1)
- d = 2.673 Å, 33.5°, I 51.7, (1 0 2)
- d = 2.025 Å, 44.7°, I 28.8, (2 1 -1)
- d = 1.969 Å, 46.1°, I 29.2, (2 1 1)
- d = 1.890 Å, 48.1°, I 55.5, (0 2 0)
- d = 1.800 Å, 50.7°, I 14.2, (1 1 -3)
- d = 1.544 Å, 59.9°, I 19.2, (1 2 2)
- d = 1.091 Å, 89.9°, I 14.3, (0 3 3)

Crystal structure
Lattice parameters (Å, degrees): 5.0466 3.7818 6.5553 90.00 93.37 90.00
Space group P2/m (No. 10)
Asymmetric unit:
Ir (0.0000, 0.0000, 0.0000) [1 per cell]
Pd (0.0000, 0.5000, 0.5000) [1 per cell]
Se (0.2447, 0.0000, 0.3413) [2 per cell]
Se (0.2639, 0.5000, 0.8633) [2 per cell]

---

Record 7
Na3As2Pd5: calculated X-ray diffraction stick pattern (λ = 1.5418 Å (Cu Kα)), based on a DFT-relaxed cell (PBE, Alexandria).

Main lines, low angle first (2θ = 10–90°):
- d = 8.210 Å, 10.8°, I 80.6, (1 1 0)
- d = 5.627 Å, 15.7°, I 34.8, (2 0 0)
- d = 3.957 Å, 22.5°, I 100.0, (1 2 1)
- d = 2.648 Å, 33.9°, I 75.3, (2 4 0)
- d = 2.631 Å, 34.1°, I 79.6, (2 0 2)
- d = 2.113 Å, 42.8°, I 75.6, (0 4 2)
- d = 2.053 Å, 44.1°, I 39.0, (4 4 0)
- d = 2.045 Å, 44.3°, I 49.7, (4 0 2)
- d = 1.987 Å, 45.7°, I 36.9, (5 2 1)
- d = 1.403 Å, 66.7°, I 25.2, (6 4 2)

Crystal structure
Lattice parameters (Å, degrees): 11.2546 12.0039 5.9521 90.00 90.00 90.00
Space group Ibam (No. 72)
Asymmetric unit:
Na (0.0000, 0.0000, 0.2500) [4 per cell]
Na (0.2361, 0.3869, 0.0000) [8 per cell]
As (0.1376, 0.1644, 0.0000) [8 per cell]
Pd (0.0000, 0.2586, 0.2500) [8 per cell]
Pd (0.0000, 0.5000, 0.2500) [4 per cell]
Pd (0.1599, 0.3793, 0.5000) [8 per cell]

---

Record 8
HoZnSnHg: calculated X-ray diffraction stick pattern (λ = 1.5418 Å (Cu Kα)), based on a DFT-relaxed cell (PBE, Alexandria).

Main lines, low angle first (2θ = 10–90°):
- d = 2.586 Å, 34.7°, I 100.0, (1 1 1)
- d = 2.326 Å, 38.7°, I 18.6, (0 0 2)
- d = 2.212 Å, 40.8°, I 16.1, (0 2 0)
- d = 2.187 Å, 41.3°, I 15.6, (2 0 0)
- d = 1.603 Å, 57.5°, I 11.8, (0 2 2)
- d = 1.593 Å, 57.9°, I 11.6, (2 0 2)
- d = 1.388 Å, 67.5°, I 14.7, (1 1 3)
- d = 1.338 Å, 70.3°, I 13.0, (1 3 1)
- d = 1.327 Å, 71.0°, I 12.7, (3 1 1)
- d = 1.293 Å, 73.2°, I 11.7, (2 2 2)

Crystal structure
Lattice parameters (Å, degrees): 4.3739 4.4247 4.6523 90.00 90.00 90.00
Space group Pmmm (No. 47)
Asymmetric unit:
Ho (0.0000, 0.0000, 0.0000) [1 per cell]
Zn (0.0000, 0.5000, 0.5000) [1 per cell]
Sn (0.5000, 0.5000, 0.0000) [1 per cell]
Hg (0.5000, 0.0000, 0.5000) [1 per cell]

---

Please write out number 8 again, unchanged.
HoZnSnHg: calculated X-ray diffraction stick pattern (λ = 1.5418 Å (Cu Kα)), based on a DFT-relaxed cell (PBE, Alexandria).

Main lines, low angle first (2θ = 10–90°):
- d = 2.586 Å, 34.7°, I 100.0, (1 1 1)
- d = 2.326 Å, 38.7°, I 18.6, (0 0 2)
- d = 2.212 Å, 40.8°, I 16.1, (0 2 0)
- d = 2.187 Å, 41.3°, I 15.6, (2 0 0)
- d = 1.603 Å, 57.5°, I 11.8, (0 2 2)
- d = 1.593 Å, 57.9°, I 11.6, (2 0 2)
- d = 1.388 Å, 67.5°, I 14.7, (1 1 3)
- d = 1.338 Å, 70.3°, I 13.0, (1 3 1)
- d = 1.327 Å, 71.0°, I 12.7, (3 1 1)
- d = 1.293 Å, 73.2°, I 11.7, (2 2 2)

Crystal structure
Lattice parameters (Å, degrees): 4.3739 4.4247 4.6523 90.00 90.00 90.00
Space group Pmmm (No. 47)
Asymmetric unit:
Ho (0.0000, 0.0000, 0.0000) [1 per cell]
Zn (0.0000, 0.5000, 0.5000) [1 per cell]
Sn (0.5000, 0.5000, 0.0000) [1 per cell]
Hg (0.5000, 0.0000, 0.5000) [1 per cell]